Theoretical X-ray diffraction stick pattern of PaMn2CrO6 for Cu Kα, from a PBE+U-relaxed structure.
Intensities are scaled so that the largest is 1000.

Structural model:
Cell: 5.7923 5.7923 4.3184 Å, 90.00 90.00 90.00°
Sites, in units of the cell vectors:
Pa: 0.0000 0.0000 0.0000
Mn: 0.0000 0.5000 0.3204
Mn: 0.5000 0.0000 0.3204
Cr: 0.5000 0.5000 0.0371
O: 0.0000 0.0000 0.5168
O: 0.2580 0.2580 0.0933
O: 0.2580 0.7420 0.0933
O: 0.5000 0.5000 0.5736
O: 0.7420 0.2580 0.0933
O: 0.7420 0.7420 0.0933

Principal peaks in the range 2θ from 15° to 90°, low angle first:
2theta	intensity	h k l
15.3	680	1 0 0
20.6	575	0 0 1
21.7	467	1 1 0
30.1	1000	1 1 1
30.9	624	2 0 0
47.6	437	1 1 2